[1]
This entry pairs a crystal structure of NaIn2 with its computed powder diffractogram. Radiation: Cu Kα X-rays. Structure: a GGA-PBE-relaxed structure.
Lines closer than 0.1° are merged.

Most intense lines, 15° ≤ 2θ ≤ 90°, by intensity:
2theta, I (rel.)
35.26, 100
31.33, 72
23.46, 69
20.47, 62
42.79, 61
36.15, 50

Structure:
```
data_NaIn2
_chemical_formula_sum 'Na4 In8'
_cell_length_a 4.9696
_cell_length_b 7.5848
_cell_length_c 8.8894
_cell_angle_alpha 90.00
_cell_angle_beta 90.00
_cell_angle_gamma 90.00
_symmetry_space_group_name_H-M 'I m m a'
_symmetry_Int_Tables_number 74
_symmetry_space_group_name_Hall '-I 2b 2'
loop_
_atom_site_label
_atom_site_type_symbol
_atom_site_fract_x
_atom_site_fract_y
_atom_site_fract_z
_atom_site_occupancy
Na1 Na 0.0000 0.2500 0.0454 1
In1 In 0.0000 0.0446 0.6622 1
```

=====

[2]
This entry pairs a crystal structure of TaIrOsRh with its computed powder diffractogram. Radiation: Cu Kα X-rays. Structure: a GGA-PBE-relaxed structure.
Lines closer than 0.1° are merged.

Most intense lines, 15° ≤ 2θ ≤ 90°, by intensity:
2theta, I (rel.)
39.86, 100
46.10, 17
46.39, 16
46.58, 16
81.12, 13
81.55, 13

Structure:
```
data_TaIrOsRh
_chemical_formula_sum 'Ta1 Ir1 Os1 Rh1'
_cell_length_a 3.8995
_cell_length_b 3.9143
_cell_length_c 3.9377
_cell_angle_alpha 90.00
_cell_angle_beta 90.00
_cell_angle_gamma 90.00
_symmetry_space_group_name_H-M 'P m m m'
_symmetry_Int_Tables_number 47
loop_
_symmetry_equiv_pos_as_xyz
'x,y,z'
'-x,-y,-z'
'-x,-y,z'
'x,y,-z'
'x,-y,-z'
'-x,y,z'
'-x,y,-z'
'x,-y,z'
loop_
_atom_site_label
_atom_site_type_symbol
_atom_site_fract_x
_atom_site_fract_y
_atom_site_fract_z
_atom_site_occupancy
Ta1 Ta 0.0000 0.0000 0.0000 1
Ir1 Ir 0.0000 0.5000 0.5000 1
Os1 Os 0.5000 0.5000 0.0000 1
Rh1 Rh 0.5000 0.0000 0.5000 1
```